Entry 1:
For PrCdInBi, a DFT-relaxed cell (GGA-PBE, Alexandria) gives the theoretical powder diffractogram in this record (λ = 1.5418 Å (Cu Kα)).

Crystal structure
Lattice parameters (Å, degrees): 4.650 4.803 4.976 90.00 90.00 90.00
Element x y z (fractional)
Pr  0.000  0.000  0.000
Cd  0.000  0.500  0.500
In  0.500  0.000  0.500
Bi  0.500  0.500  0.000

Main lines, sorted by position (2θ = 5–70°):
32.28 deg, I 100; 36.10 deg, I 19; 37.45 deg, I 17; 38.73 deg, I 15; 53.00 deg, I 12; 53.98 deg, I 12; 62.52 deg, I 15; 64.33 deg, I 14; 66.07 deg, I 13; 67.55 deg, I 12

=====

Entry 2:
For RbCd2InBi, a DFT-relaxed cell (GGA-PBE, Alexandria) gives the theoretical powder diffractogram in this record (λ = 1.5418 Å (Cu Kα)).

Crystal structure
Lattice parameters (Å, degrees): 7.444 7.444 7.444 141.50 139.37 57.22
Element x y z (fractional)
Rb  0.000  0.000  0.000
Cd  0.620  0.620  0.000
Cd  0.748  0.248  0.500
In  0.237  0.737  0.500
Bi  0.387  0.387  0.000

Main lines, sorted by position (2θ = 5–70°):
18.46 deg, I 24; 19.31 deg, I 26; 26.76 deg, I 29; 27.37 deg, I 39; 28.55 deg, I 100; 34.71 deg, I 44; 36.61 deg, I 38; 37.36 deg, I 74; 38.59 deg, I 27; 51.33 deg, I 29

=====

Entry 3:
For Rb2Cd3In4Bi, a DFT-relaxed cell (GGA-PBE, Alexandria) gives the theoretical powder diffractogram in this record (λ = 1.5418 Å (Cu Kα)).

Crystal structure
Lattice parameters (Å, degrees): 5.083 5.083 12.690 90.00 90.00 90.00
Element x y z (fractional)
Rb  0.000  0.500  0.247
Rb  0.500  0.000  0.753
Cd  0.000  0.500  0.872
Cd  0.500  0.000  0.128
Cd  0.500  0.500  0.500
In  0.000  0.000  0.000
In  0.000  0.500  0.641
In  0.500  0.000  0.359
In  0.500  0.500  0.000
Bi  0.000  0.000  0.500

Main lines, sorted by position (2θ = 5–70°):
13.96 deg, I 23; 27.43 deg, I 36; 28.54 deg, I 100; 35.32 deg, I 67; 37.83 deg, I 53; 39.69 deg, I 23; 45.29 deg, I 18; 50.81 deg, I 24; 59.31 deg, I 25; 65.05 deg, I 21

=====

Entry 4:
For SmCdInBi, a DFT-relaxed cell (GGA-PBE, Alexandria) gives the theoretical powder diffractogram in this record (λ = 1.5418 Å (Cu Kα)).

Crystal structure
Lattice parameters (Å, degrees): 4.579 4.744 4.965 90.00 90.00 90.00
Element x y z (fractional)
Sm  0.000  0.000  0.000
Cd  0.000  0.500  0.500
In  0.500  0.000  0.500
Bi  0.500  0.500  0.000

Main lines, sorted by position (2θ = 5–70°):
32.62 deg, I 100; 36.19 deg, I 19; 37.93 deg, I 17; 39.36 deg, I 15; 53.43 deg, I 12; 54.53 deg, I 12; 62.84 deg, I 15; 65.18 deg, I 13; 67.13 deg, I 12; 68.34 deg, I 12

=====

Entry 5:
For Cd2Bi8Ir, a DFT-relaxed cell (GGA-PBE, Alexandria) gives the theoretical powder diffractogram in this record (λ = 1.5418 Å (Cu Kα)).

Crystal structure
Lattice parameters (Å, degrees): 8.255 8.255 6.188 105.16 105.16 63.93
Element x y z (fractional)
Cd  0.135  0.135  0.256
Cd  0.865  0.865  0.744
Bi  0.207  0.685  0.214
Bi  0.209  0.209  0.832
Bi  0.315  0.793  0.786
Bi  0.361  0.361  0.514
Bi  0.639  0.639  0.486
Bi  0.685  0.207  0.214
Bi  0.791  0.791  0.168
Bi  0.793  0.315  0.786
Ir  0.000  0.000  0.500

Main lines, sorted by position (2θ = 5–70°):
16.74 deg, I 46; 24.36 deg, I 100; 30.47 deg, I 86; 30.91 deg, I 71; 32.54 deg, I 86; 33.52 deg, I 92; 38.67 deg, I 62; 41.32 deg, I 65; 42.53 deg, I 49; 57.87 deg, I 41

=====

Entry 6:
For K3Cd2Bi2, a DFT-relaxed cell (GGA-PBE, Alexandria) gives the theoretical powder diffractogram in this record (λ = 1.5418 Å (Cu Kα)).

Crystal structure
Lattice parameters (Å, degrees): 6.710 10.375 15.586 90.00 90.00 90.00
Element x y z (fractional)
K  0.117  0.142  0.110
K  0.117  0.142  0.390
K  0.117  0.358  0.610
K  0.117  0.358  0.890
K  0.345  0.731  0.750
K  0.345  0.769  0.250
K  0.655  0.231  0.750
K  0.655  0.269  0.250
K  0.883  0.642  0.110
K  0.883  0.642  0.390
K  0.883  0.858  0.610
K  0.883  0.858  0.890
Cd  0.379  0.026  0.584
Cd  0.379  0.026  0.916
Cd  0.379  0.474  0.084
Cd  0.379  0.474  0.416
Cd  0.621  0.526  0.584
Cd  0.621  0.526  0.916
Cd  0.621  0.974  0.084
Cd  0.621  0.974  0.416
Bi  0.169  0.069  0.750
Bi  0.169  0.431  0.250
Bi  0.381  0.750  0.000
Bi  0.381  0.750  0.500
Bi  0.619  0.250  0.000
Bi  0.619  0.250  0.500
Bi  0.831  0.569  0.750
Bi  0.831  0.931  0.250

Main lines, sorted by position (2θ = 5–70°):
13.19 deg, I 28; 16.73 deg, I 94; 17.44 deg, I 82; 19.44 deg, I 36; 27.95 deg, I 36; 29.04 deg, I 61; 31.67 deg, I 50; 32.91 deg, I 100; 38.77 deg, I 33; 39.15 deg, I 38

=====

Entry 7:
For KNa2Cd2Bi2, a DFT-relaxed cell (GGA-PBE, Alexandria) gives the theoretical powder diffractogram in this record (λ = 1.5418 Å (Cu Kα)).

Crystal structure
Lattice parameters (Å, degrees): 10.245 10.245 10.245 28.87 28.87 28.87
Element x y z (fractional)
K  0.000  0.000  0.000
Na  0.141  0.141  0.141
Na  0.859  0.859  0.859
Cd  0.445  0.445  0.445
Cd  0.555  0.555  0.555
Bi  0.253  0.253  0.253
Bi  0.747  0.747  0.747

Main lines, sorted by position (2θ = 5–70°):
18.08 deg, I 60; 20.97 deg, I 25; 23.47 deg, I 100; 29.30 deg, I 31; 35.14 deg, I 96; 36.67 deg, I 67; 39.79 deg, I 52; 42.69 deg, I 21; 51.69 deg, I 35; 64.05 deg, I 24

=====

Entry 8:
For K2NaCdBi2, a DFT-relaxed cell (GGA-PBE, Alexandria) gives the theoretical powder diffractogram in this record (λ = 1.5418 Å (Cu Kα)).

Crystal structure
Lattice parameters (Å, degrees): 10.000 10.000 10.000 138.08 60.66 138.24
Element x y z (fractional)
K  0.172  0.243  0.415
K  0.328  0.743  0.071
K  0.672  0.257  0.929
K  0.828  0.757  0.585
Na  0.250  0.250  0.000
Na  0.750  0.750  0.000
Cd  0.250  0.750  0.500
Cd  0.750  0.250  0.500
Bi  0.109  0.727  0.836
Bi  0.391  0.227  0.618
Bi  0.609  0.773  0.382
Bi  0.891  0.273  0.164

Main lines, sorted by position (2θ = 5–70°):
10.25 deg, I 33; 13.40 deg, I 22; 20.38 deg, I 100; 20.58 deg, I 17; 24.94 deg, I 35; 27.18 deg, I 27; 32.55 deg, I 88; 35.56 deg, I 45; 35.92 deg, I 29; 41.41 deg, I 28